[1]
Structure and simulated XRD peak list of LiNb8O10 (a crystal structure in the Materials Project, relaxed with PBE; Cu Kα X-rays).
Kinematic intensities with the Lorentz-polarization factor, no thermal factor.

Most intense lines, 10 to 80 degrees two-theta, sorted by position:
| 2theta | intensity |
| --- | --- |
| 13.75 | 36 |
| 14.79 | 72 |
| 28.25 | 26 |
| 35.89 | 100 |
| 41.48 | 81 |
| 42.09 | 33 |
| 45.93 | 24 |
| 60.11 | 25 |
| 60.58 | 42 |
| 72.03 | 29 |

Structural model:
a b c (Å): 13.596 13.596 13.596
angles (deg): 153.82 153.82 37.35
Fractional positions:
Li: 0.375 0.625 0.750
Li: 0.625 0.375 0.250
Nb: 0.075 0.079 0.504
Nb: 0.075 0.571 0.996
Nb: 0.079 0.075 0.004
Nb: 0.243 0.249 0.994
Nb: 0.245 0.751 0.494
Nb: 0.249 0.243 0.494
Nb: 0.249 0.755 0.006
Nb: 0.429 0.925 0.504
Nb: 0.571 0.075 0.496
Nb: 0.751 0.245 0.994
Nb: 0.751 0.757 0.506
Nb: 0.755 0.249 0.506
Nb: 0.757 0.751 0.006
Nb: 0.921 0.925 0.996
Nb: 0.925 0.429 0.004
Nb: 0.925 0.921 0.496
O: 0.000 0.500 0.500
O: 0.140 0.163 0.977
O: 0.149 0.667 0.482
O: 0.163 0.140 0.477
O: 0.163 0.686 0.023
O: 0.314 0.333 0.982
O: 0.314 0.837 0.477
O: 0.333 0.314 0.482
O: 0.333 0.851 0.018
O: 0.500 0.000 0.000
O: 0.500 0.500 0.000
O: 0.500 0.500 0.500
O: 0.667 0.149 0.982
O: 0.667 0.686 0.518
O: 0.686 0.163 0.523
O: 0.686 0.667 0.018
O: 0.837 0.314 0.977
O: 0.837 0.860 0.523
O: 0.851 0.333 0.518
O: 0.860 0.837 0.023



[2]
Structure and simulated XRD peak list of LiNb2O4 (a crystal structure in the Materials Project, relaxed with PBE; Cu Kα X-rays).
Kinematic intensities with the Lorentz-polarization factor, no thermal factor.

Most intense lines, 10 to 80 degrees two-theta, sorted by position:
| 2theta | intensity |
| --- | --- |
| 16.53 | 100 |
| 33.41 | 7 |
| 34.79 | 19 |
| 35.81 | 34 |
| 38.75 | 20 |
| 43.26 | 50 |
| 55.74 | 25 |
| 62.32 | 9 |
| 64.96 | 9 |
| 71.63 | 6 |

Structural model:
a b c (Å): 5.165 10.727 2.973
angles (deg): 90.00 90.00 90.00
Fractional positions:
Li: 0.000 0.000 0.000
Li: 0.500 0.500 0.500
Nb: 0.164 0.257 0.500
Nb: 0.336 0.757 0.000
Nb: 0.664 0.243 0.000
Nb: 0.836 0.743 0.500
O: 0.155 0.870 0.500
O: 0.182 0.638 0.500
O: 0.318 0.138 0.000
O: 0.345 0.370 0.000
O: 0.655 0.630 0.000
O: 0.682 0.862 0.000
O: 0.818 0.362 0.500
O: 0.845 0.130 0.500



[3]
Structure and simulated XRD peak list of Li8NbO6 (a crystal structure in the Materials Project, relaxed with PBE; Cu Kα X-rays).
Kinematic intensities with the Lorentz-polarization factor, no thermal factor.

Most intense lines, 10 to 80 degrees two-theta, sorted by position:
| 2theta | intensity |
| --- | --- |
| 17.11 | 100 |
| 19.20 | 81 |
| 19.55 | 85 |
| 19.67 | 84 |
| 21.68 | 65 |
| 21.79 | 68 |
| 22.13 | 64 |
| 36.54 | 57 |
| 36.72 | 57 |
| 37.67 | 62 |

Structural model:
a b c (Å): 5.431 5.539 6.026
angles (deg): 91.03 115.89 119.19
Fractional positions:
Li: 0.088 0.101 0.355
Li: 0.202 0.363 0.033
Li: 0.236 0.503 0.635
Li: 0.369 0.764 0.362
Li: 0.631 0.236 0.638
Li: 0.764 0.497 0.365
Li: 0.798 0.637 0.967
Li: 0.912 0.899 0.645
Nb: 0.500 0.000 0.000
O: 0.019 0.611 0.758
O: 0.346 0.237 0.756
O: 0.368 0.094 0.244
O: 0.632 0.906 0.756
O: 0.654 0.763 0.244
O: 0.981 0.389 0.242



Copy entry 2 word for word.
Structure and simulated XRD peak list of LiNb2O4 (a crystal structure in the Materials Project, relaxed with PBE; Cu Kα X-rays).
Kinematic intensities with the Lorentz-polarization factor, no thermal factor.

Most intense lines, 10 to 80 degrees two-theta, sorted by position:
| 2theta | intensity |
| --- | --- |
| 16.53 | 100 |
| 33.41 | 7 |
| 34.79 | 19 |
| 35.81 | 34 |
| 38.75 | 20 |
| 43.26 | 50 |
| 55.74 | 25 |
| 62.32 | 9 |
| 64.96 | 9 |
| 71.63 | 6 |

Structural model:
a b c (Å): 5.165 10.727 2.973
angles (deg): 90.00 90.00 90.00
Fractional positions:
Li: 0.000 0.000 0.000
Li: 0.500 0.500 0.500
Nb: 0.164 0.257 0.500
Nb: 0.336 0.757 0.000
Nb: 0.664 0.243 0.000
Nb: 0.836 0.743 0.500
O: 0.155 0.870 0.500
O: 0.182 0.638 0.500
O: 0.318 0.138 0.000
O: 0.345 0.370 0.000
O: 0.655 0.630 0.000
O: 0.682 0.862 0.000
O: 0.818 0.362 0.500
O: 0.845 0.130 0.500



What did the second record say?
Structure and simulated XRD peak list of LiNb2O4 (a crystal structure in the Materials Project, relaxed with PBE; Cu Kα X-rays).
Kinematic intensities with the Lorentz-polarization factor, no thermal factor.

Most intense lines, 10 to 80 degrees two-theta, sorted by position:
| 2theta | intensity |
| --- | --- |
| 16.53 | 100 |
| 33.41 | 7 |
| 34.79 | 19 |
| 35.81 | 34 |
| 38.75 | 20 |
| 43.26 | 50 |
| 55.74 | 25 |
| 62.32 | 9 |
| 64.96 | 9 |
| 71.63 | 6 |

Structural model:
a b c (Å): 5.165 10.727 2.973
angles (deg): 90.00 90.00 90.00
Fractional positions:
Li: 0.000 0.000 0.000
Li: 0.500 0.500 0.500
Nb: 0.164 0.257 0.500
Nb: 0.336 0.757 0.000
Nb: 0.664 0.243 0.000
Nb: 0.836 0.743 0.500
O: 0.155 0.870 0.500
O: 0.182 0.638 0.500
O: 0.318 0.138 0.000
O: 0.345 0.370 0.000
O: 0.655 0.630 0.000
O: 0.682 0.862 0.000
O: 0.818 0.362 0.500
O: 0.845 0.130 0.500



> Which formula does entry 2 have?

LiNb2O4